[1]
RbTiTc2O: theoretical powder diffractogram (copper Kα), based on a DFT-relaxed cell (PBE, Alexandria).
Peak positions follow from Bragg's law for the DFT cell and can differ from measured ones.

Atomic structure:
```
data_RbTiTc2O
_chemical_formula_sum 'Rb1 Ti1 Tc2 O1'
_symmetry_space_group_name_H-M 'P 4/m m m'
_symmetry_Int_Tables_number 123
_symmetry_space_group_name_Hall '-P 4 2'
_cell_length_a 4.6915
_cell_length_b 4.6915
_cell_length_c 4.8994
_cell_angle_alpha 90.00
_cell_angle_beta 90.00
_cell_angle_gamma 90.00
loop_
_atom_site_label
_atom_site_type_symbol
_atom_site_fract_x
_atom_site_fract_y
_atom_site_fract_z
_atom_site_occupancy
Rb1 Rb 0.0000 0.0000 0.0000 1
Ti1 Ti 0.0000 0.0000 0.5000 1
Tc1 Tc 0.0000 0.5000 0.0000 1
O1 O 0.5000 0.5000 0.5000 1
```

Principal peaks in the range 10 to 80 degrees two-theta, in order of rising 2θ:
2θ 18.1, rel. 100, hkl 0 0 1
2θ 18.9, rel. 51, hkl 1 0 0
2θ 32.6, rel. 61, hkl 1 1 1
2θ 36.7, rel. 42, hkl 0 0 2
2θ 38.4, rel. 74, hkl 2 0 0
2θ 42.7, rel. 44, hkl 2 0 1
2θ 54.1, rel. 52, hkl 2 0 2
2θ 68.3, rel. 25, hkl 2 2 2

---

[2]
CeSmScS3: theoretical powder diffractogram (copper Kα), based on a DFT-relaxed cell (PBE, Alexandria).
Peak positions follow from Bragg's law for the DFT cell and can differ from measured ones.

Atomic structure:
```
data_CeSmScS3
_chemical_formula_sum 'Ce2 Sm2 Sc2 S6'
_symmetry_space_group_name_H-M 'P 1 21/m 1'
_symmetry_Int_Tables_number 11
_symmetry_space_group_name_Hall '-P 2yb'
_cell_length_a 8.3476
_cell_length_b 3.8262
_cell_length_c 9.2297
_cell_angle_alpha 90.00
_cell_angle_beta 98.83
_cell_angle_gamma 90.00
loop_
_atom_site_label
_atom_site_type_symbol
_atom_site_fract_x
_atom_site_fract_y
_atom_site_fract_z
_atom_site_occupancy
Ce1 Ce 0.1526 0.2500 0.1886 1
Sm1 Sm 0.3608 0.7500 0.8653 1
Sc1 Sc 0.1212 0.2500 0.5958 1
S1 S 0.1112 0.2500 0.8718 1
S2 S 0.1914 0.7500 0.4406 1
S3 S 0.4056 0.7500 0.1683 1
```

Principal peaks in the range 10 to 80 degrees two-theta, in order of rising 2θ:
2θ 22.3, rel. 23, hkl 2 0 -1
2θ 25.2, rel. 29, hkl 0 1 1
2θ 26.8, rel. 27, hkl 2 0 -2
2θ 29.4, rel. 46, hkl 0 0 3
2θ 30.5, rel. 52, hkl 0 1 2
2θ 31.9, rel. 100, hkl 2 1 0
2θ 32.4, rel. 41, hkl 2 1 -1
2θ 41.5, rel. 32, hkl 2 1 -3

---

[3]
Ag7Se3Cl2: theoretical powder diffractogram (copper Kα), based on a DFT-relaxed cell (PBE, Alexandria).
Peak positions follow from Bragg's law for the DFT cell and can differ from measured ones.

Atomic structure:
```
data_Ag7Se3Cl2
_chemical_formula_sum 'Ag28 Se12 Cl8'
_symmetry_space_group_name_H-M 'C m c 21'
_symmetry_Int_Tables_number 36
_symmetry_space_group_name_Hall 'C 2c -2'
_cell_length_a 31.6793
_cell_length_b 6.3578
_cell_length_c 5.6767
_cell_angle_alpha 90.00
_cell_angle_beta 90.00
_cell_angle_gamma 90.00
loop_
_atom_site_label
_atom_site_type_symbol
_atom_site_fract_x
_atom_site_fract_y
_atom_site_fract_z
_atom_site_occupancy
Ag1 Ag 0.0000 0.0513 0.0000 1
Ag2 Ag 0.0553 0.3067 0.3460 1
Ag3 Ag 0.1733 0.0878 0.1601 1
Ag4 Ag 0.2470 0.3865 0.2305 1
Se1 Se 0.0000 0.3293 0.6719 1
Se2 Se 0.1882 0.3146 0.5500 1
Cl1 Cl 0.1034 0.2435 0.0196 1
```

Principal peaks in the range 10 to 80 degrees two-theta, in order of rising 2θ:
2θ 11.2, rel. 100, hkl 4 0 0
2θ 32.0, rel. 26, hkl 2 0 2
2θ 33.1, rel. 35, hkl 9 1 1
2θ 34.2, rel. 28, hkl 11 1 0
2θ 35.9, rel. 26, hkl 6 0 2
2θ 36.6, rel. 82, hkl 6 2 1
2θ 42.8, rel. 39, hkl 10 0 2
2θ 43.4, rel. 42, hkl 10 2 1

---

[4]
LaPrSi: theoretical powder diffractogram (copper Kα), based on a DFT-relaxed cell (PBE, Alexandria).
Peak positions follow from Bragg's law for the DFT cell and can differ from measured ones.

Atomic structure:
```
data_LaPrSi
_chemical_formula_sum 'La4 Pr4 Si4'
_symmetry_space_group_name_H-M 'I m m m'
_symmetry_Int_Tables_number 71
_symmetry_space_group_name_Hall '-I 2 2'
_cell_length_a 4.2128
_cell_length_b 6.5289
_cell_length_c 13.1454
_cell_angle_alpha 90.00
_cell_angle_beta 90.00
_cell_angle_gamma 90.00
loop_
_atom_site_label
_atom_site_type_symbol
_atom_site_fract_x
_atom_site_fract_y
_atom_site_fract_z
_atom_site_occupancy
La1 La 0.0000 0.2263 0.0000 1
Pr1 Pr 0.0000 0.0000 0.2982 1
Si1 Si 0.0000 0.5000 0.3601 1
```

Principal peaks in the range 10 to 80 degrees two-theta, in order of rising 2θ:
2θ 24.5, rel. 24, hkl 0 1 3
2θ 25.2, rel. 35, hkl 1 1 0
2θ 28.6, rel. 24, hkl 1 1 2
2θ 29.4, rel. 100, hkl 1 0 3
2θ 30.6, rel. 77, hkl 0 2 2
2θ 35.5, rel. 59, hkl 1 2 1
2θ 49.5, rel. 44, hkl 1 2 5
2θ 53.6, rel. 31, hkl 2 2 2